Record 1
This entry pairs a crystal structure of ScBe13 with its calculated XRD peak list. Radiation: λ = 1.5418 Å (Cu Kα). Structure: a cell relaxed with PBE.
Kinematic intensities with the Lorentz-polarization factor, no thermal factor.

The 6 most intense peaks (5° ≤ 2θ ≤ 70°), in order of rising 2θ:
2θ/deg, intensity
17.69, 38.8
25.11, 87.0
30.89, 49.5
40.21, 95.6
44.24, 100.0
58.17, 32.8

```
data_ScBe13
_space_group_name_H-M_alt 'P 1'
_space_group_IT_number 1
_cell_length_a 7.092
_cell_length_b 7.092
_cell_length_c 7.092
_cell_angle_alpha 60.00
_cell_angle_beta 60.00
_cell_angle_gamma 60.00
loop_
_space_group_symop_operation_xyz
'x,y,z'
loop_
_atom_site_label
_atom_site_type_symbol
_atom_site_fract_x
_atom_site_fract_y
_atom_site_fract_z
Sc1 Sc 0.250 0.250 0.250
Sc2 Sc 0.750 0.750 0.750
Be1 Be 0.000 0.000 0.000
Be2 Be 0.063 0.292 0.708
Be3 Be 0.063 0.708 0.937
Be4 Be 0.063 0.937 0.292
Be5 Be 0.208 0.437 0.792
Be6 Be 0.208 0.563 0.437
Be7 Be 0.208 0.792 0.563
Be8 Be 0.292 0.063 0.937
Be9 Be 0.292 0.708 0.063
Be10 Be 0.292 0.937 0.708
Be11 Be 0.437 0.208 0.563
Be12 Be 0.437 0.563 0.792
Be13 Be 0.437 0.792 0.208
Be14 Be 0.500 0.500 0.500
Be15 Be 0.563 0.208 0.792
Be16 Be 0.563 0.437 0.208
Be17 Be 0.563 0.792 0.437
Be18 Be 0.708 0.063 0.292
Be19 Be 0.708 0.292 0.937
Be20 Be 0.708 0.937 0.063
Be21 Be 0.792 0.208 0.437
Be22 Be 0.792 0.437 0.563
Be23 Be 0.792 0.563 0.208
Be24 Be 0.937 0.063 0.708
Be25 Be 0.937 0.292 0.063
Be26 Be 0.937 0.708 0.292
```



Record 2
This entry pairs a crystal structure of CaGe2Au2 with its calculated XRD peak list. Radiation: λ = 1.5418 Å (Cu Kα). Structure: a cell relaxed with PBE.
Kinematic intensities with the Lorentz-polarization factor, no thermal factor.

The 6 most intense peaks (5° ≤ 2θ ≤ 70°), in order of rising 2θ:
2θ/deg, intensity
17.01, 67.6
32.88, 100.0
39.90, 50.7
43.66, 27.0
44.88, 53.4
68.04, 34.3

```
data_CaGe2Au2
_space_group_name_H-M_alt 'P 1'
_space_group_IT_number 1
_cell_length_a 6.113
_cell_length_b 6.113
_cell_length_c 6.113
_cell_angle_alpha 136.62
_cell_angle_beta 136.62
_cell_angle_gamma 63.03
loop_
_space_group_symop_operation_xyz
'x,y,z'
loop_
_atom_site_label
_atom_site_type_symbol
_atom_site_fract_x
_atom_site_fract_y
_atom_site_fract_z
Ca1 Ca 0.000 0.000 0.000
Ge1 Ge 0.381 0.381 0.000
Ge2 Ge 0.619 0.619 0.000
Au1 Au 0.250 0.750 0.500
Au2 Au 0.750 0.250 0.500
```



Record 3
This entry pairs a crystal structure of BaSrNdSbO6 with its calculated XRD peak list. Radiation: λ = 1.5418 Å (Cu Kα). Structure: a cell relaxed with PBE.
Kinematic intensities with the Lorentz-polarization factor, no thermal factor.

The 6 most intense peaks (5° ≤ 2θ ≤ 70°), in order of rising 2θ:
2θ/deg, intensity
20.69, 3.5
29.43, 100.0
42.10, 28.5
52.20, 43.1
61.06, 17.1
69.21, 18.2

```
data_BaSrNdSbO6
_space_group_name_H-M_alt 'P 1'
_space_group_IT_number 1
_cell_length_a 8.581
_cell_length_b 8.586
_cell_length_c 8.588
_cell_angle_alpha 90.00
_cell_angle_beta 90.00
_cell_angle_gamma 90.00
loop_
_space_group_symop_operation_xyz
'x,y,z'
loop_
_atom_site_label
_atom_site_type_symbol
_atom_site_fract_x
_atom_site_fract_y
_atom_site_fract_z
Ba1 Ba 0.000 0.000 0.000
Ba2 Ba 0.000 0.000 0.500
Ba3 Ba 0.500 0.000 0.000
Ba4 Ba 0.500 0.500 0.500
Sr1 Sr 0.000 0.500 0.000
Sr2 Sr 0.000 0.500 0.500
Sr3 Sr 0.500 0.000 0.500
Sr4 Sr 0.500 0.500 0.000
Nd1 Nd 0.251 0.252 0.251
Nd2 Nd 0.251 0.748 0.749
Nd3 Nd 0.749 0.252 0.749
Nd4 Nd 0.749 0.748 0.251
Sb1 Sb 0.249 0.254 0.749
Sb2 Sb 0.249 0.746 0.251
Sb3 Sb 0.751 0.254 0.251
Sb4 Sb 0.751 0.746 0.749
O1 O 0.018 0.227 0.724
O2 O 0.018 0.773 0.276
O3 O 0.218 0.284 0.981
O4 O 0.218 0.483 0.711
O5 O 0.218 0.517 0.289
O6 O 0.218 0.716 0.019
O7 O 0.273 0.020 0.776
O8 O 0.273 0.980 0.224
O9 O 0.288 0.220 0.519
O10 O 0.288 0.780 0.481
O11 O 0.480 0.287 0.784
O12 O 0.480 0.713 0.216
O13 O 0.520 0.287 0.216
O14 O 0.520 0.713 0.784
O15 O 0.712 0.220 0.481
O16 O 0.712 0.780 0.519
O17 O 0.727 0.020 0.224
O18 O 0.727 0.980 0.776
O19 O 0.782 0.284 0.019
O20 O 0.782 0.483 0.289
O21 O 0.782 0.517 0.711
O22 O 0.782 0.716 0.981
O23 O 0.982 0.227 0.276
O24 O 0.982 0.773 0.724
```



Record 4
This entry pairs a crystal structure of CeGa2Pd2 with its calculated XRD peak list. Radiation: λ = 1.5418 Å (Cu Kα). Structure: a cell relaxed with PBE.
Kinematic intensities with the Lorentz-polarization factor, no thermal factor.

The 6 most intense peaks (5° ≤ 2θ ≤ 70°), in order of rising 2θ:
2θ/deg, intensity
33.19, 62.5
34.09, 100.0
41.88, 64.2
48.68, 26.7
54.45, 30.1
66.12, 21.0

```
data_CeGa2Pd2
_space_group_name_H-M_alt 'P 1'
_space_group_IT_number 1
_cell_length_a 4.314
_cell_length_b 4.314
_cell_length_c 10.379
_cell_angle_alpha 90.00
_cell_angle_beta 90.00
_cell_angle_gamma 90.00
loop_
_space_group_symop_operation_xyz
'x,y,z'
loop_
_atom_site_label
_atom_site_type_symbol
_atom_site_fract_x
_atom_site_fract_y
_atom_site_fract_z
Ce1 Ce 0.250 0.250 0.246
Ce2 Ce 0.750 0.750 0.754
Ga1 Ga 0.250 0.250 0.629
Ga2 Ga 0.250 0.750 0.000
Ga3 Ga 0.750 0.250 0.000
Ga4 Ga 0.750 0.750 0.371
Pd1 Pd 0.250 0.250 0.869
Pd2 Pd 0.250 0.750 0.500
Pd3 Pd 0.750 0.250 0.500
Pd4 Pd 0.750 0.750 0.131
```



Record 5
This entry pairs a crystal structure of MgTi2S4 with its calculated XRD peak list. Radiation: λ = 1.5418 Å (Cu Kα). Structure: a cell relaxed with PBE.
Kinematic intensities with the Lorentz-polarization factor, no thermal factor.

The 6 most intense peaks (5° ≤ 2θ ≤ 70°), in order of rising 2θ:
2θ/deg, intensity
13.83, 54.7
30.10, 29.7
33.26, 34.5
36.88, 100.0
46.85, 62.6
53.46, 41.1

```
data_MgTi2S4
_space_group_name_H-M_alt 'P 1'
_space_group_IT_number 1
_cell_length_a 3.428
_cell_length_b 3.428
_cell_length_c 12.807
_cell_angle_alpha 90.00
_cell_angle_beta 90.00
_cell_angle_gamma 120.00
loop_
_space_group_symop_operation_xyz
'x,y,z'
loop_
_atom_site_label
_atom_site_type_symbol
_atom_site_fract_x
_atom_site_fract_y
_atom_site_fract_z
Mg1 Mg 0.000 0.000 0.000
Ti1 Ti 0.333 0.667 0.256
Ti2 Ti 0.667 0.333 0.744
S1 S 0.333 0.667 0.636
S2 S 0.333 0.667 0.875
S3 S 0.667 0.333 0.125
S4 S 0.667 0.333 0.364
```



Record 6
This entry pairs a crystal structure of HgAsC4Se3N with its calculated XRD peak list. Radiation: λ = 1.5418 Å (Cu Kα). Structure: a cell relaxed with PBE.
Kinematic intensities with the Lorentz-polarization factor, no thermal factor.

The 6 most intense peaks (5° ≤ 2θ ≤ 70°), in order of rising 2θ:
2θ/deg, intensity
10.60, 100.0
12.60, 31.2
12.86, 37.8
15.61, 78.4
24.22, 37.4
37.30, 28.5

```
data_HgAsC4Se3N
_space_group_name_H-M_alt 'P 1'
_space_group_IT_number 1
_cell_length_a 7.560
_cell_length_b 16.688
_cell_length_c 10.706
_cell_angle_alpha 90.00
_cell_angle_beta 133.69
_cell_angle_gamma 90.00
loop_
_space_group_symop_operation_xyz
'x,y,z'
loop_
_atom_site_label
_atom_site_type_symbol
_atom_site_fract_x
_atom_site_fract_y
_atom_site_fract_z
Hg1 Hg 0.189 0.052 0.304
Hg2 Hg 0.189 0.448 0.804
Hg3 Hg 0.811 0.552 0.196
Hg4 Hg 0.811 0.948 0.696
As1 As 0.321 0.549 0.161
As2 As 0.321 0.951 0.661
As3 As 0.679 0.049 0.339
As4 As 0.679 0.451 0.839
C1 C 0.311 0.664 0.425
C2 C 0.311 0.836 0.925
C3 C 0.347 0.154 0.778
C4 C 0.347 0.346 0.278
C5 C 0.409 0.615 0.573
C6 C 0.409 0.885 0.073
C7 C 0.492 0.714 0.574
C8 C 0.492 0.786 0.074
C9 C 0.508 0.214 0.926
C10 C 0.508 0.286 0.426
C11 C 0.591 0.115 0.927
C12 C 0.591 0.385 0.427
C13 C 0.653 0.654 0.722
C14 C 0.653 0.846 0.222
C15 C 0.689 0.164 0.075
C16 C 0.689 0.336 0.575
Se1 Se 0.081 0.663 0.187
Se2 Se 0.081 0.837 0.687
Se3 Se 0.249 0.593 0.918
Se4 Se 0.249 0.907 0.418
Se5 Se 0.271 0.091 0.110
Se6 Se 0.271 0.409 0.610
Se7 Se 0.729 0.591 0.390
Se8 Se 0.729 0.909 0.890
Se9 Se 0.751 0.093 0.582
Se10 Se 0.751 0.407 0.082
Se11 Se 0.919 0.163 0.313
Se12 Se 0.919 0.337 0.813
N1 N 0.427 0.685 0.674
N2 N 0.427 0.815 0.174
N3 N 0.573 0.185 0.826
N4 N 0.573 0.315 0.326
```



Record 7
This entry pairs a crystal structure of Zr3O with its calculated XRD peak list. Radiation: λ = 1.5418 Å (Cu Kα). Structure: a cell relaxed with PBE.
Kinematic intensities with the Lorentz-polarization factor, no thermal factor.

The 6 most intense peaks (5° ≤ 2θ ≤ 70°), in order of rising 2θ:
2θ/deg, intensity
31.57, 18.5
34.22, 22.7
36.03, 100.0
47.24, 18.6
56.23, 19.5
62.45, 19.2

```
data_Zr3O
_space_group_name_H-M_alt 'P 1'
_space_group_IT_number 1
_cell_length_a 10.981
_cell_length_b 10.981
_cell_length_c 10.981
_cell_angle_alpha 29.91
_cell_angle_beta 29.91
_cell_angle_gamma 29.91
loop_
_space_group_symop_operation_xyz
'x,y,z'
loop_
_atom_site_label
_atom_site_type_symbol
_atom_site_fract_x
_atom_site_fract_y
_atom_site_fract_z
Zr1 Zr 0.000 0.659 0.341
Zr2 Zr 0.077 0.415 0.757
Zr3 Zr 0.161 0.839 0.500
Zr4 Zr 0.243 0.585 0.923
Zr5 Zr 0.341 0.000 0.659
Zr6 Zr 0.415 0.757 0.077
Zr7 Zr 0.500 0.161 0.839
Zr8 Zr 0.585 0.923 0.243
Zr9 Zr 0.659 0.341 0.000
Zr10 Zr 0.757 0.077 0.415
Zr11 Zr 0.839 0.500 0.161
Zr12 Zr 0.923 0.243 0.585
O1 O 0.125 0.125 0.125
O2 O 0.292 0.292 0.292
O3 O 0.708 0.708 0.708
O4 O 0.875 0.875 0.875
```



Record 8
This entry pairs a crystal structure of LiMo3Se3 with its calculated XRD peak list. Radiation: λ = 1.5418 Å (Cu Kα). Structure: a cell relaxed with PBE.
Kinematic intensities with the Lorentz-polarization factor, no thermal factor.

The 6 most intense peaks (5° ≤ 2θ ≤ 70°), in order of rising 2θ:
2θ/deg, intensity
11.37, 100.0
30.39, 11.5
36.43, 23.8
39.83, 13.3
45.06, 22.8
46.62, 25.2

```
data_LiMo3Se3
_space_group_name_H-M_alt 'P 1'
_space_group_IT_number 1
_cell_length_a 8.985
_cell_length_b 8.985
_cell_length_c 4.526
_cell_angle_alpha 90.00
_cell_angle_beta 90.00
_cell_angle_gamma 120.00
loop_
_space_group_symop_operation_xyz
'x,y,z'
loop_
_atom_site_label
_atom_site_type_symbol
_atom_site_fract_x
_atom_site_fract_y
_atom_site_fract_z
Li1 Li 0.333 0.667 0.250
Li2 Li 0.667 0.333 0.750
Mo1 Mo 0.032 0.185 0.750
Mo2 Mo 0.153 0.968 0.750
Mo3 Mo 0.185 0.153 0.250
Mo4 Mo 0.815 0.847 0.750
Mo5 Mo 0.847 0.032 0.250
Mo6 Mo 0.968 0.815 0.250
Se1 Se 0.063 0.366 0.250
Se2 Se 0.303 0.937 0.250
Se3 Se 0.366 0.303 0.750
Se4 Se 0.634 0.697 0.250
Se5 Se 0.697 0.063 0.750
Se6 Se 0.937 0.634 0.750
```